# Pr4Dy5Er3
Simulated X-ray powder pattern, Cu Kα (λ = 1.5418 Å). Input: a cell relaxed with GGA-PBE.
Lines closer than 0.1° are merged.

The 10 most intense peaks (2θ = 10–90°), most intense first:
d (Å)  2θ/deg  I/Imax
2.973  30.1  100
2.770  32.3  76
2.691  33.3  66
2.826  31.7  52
2.876  31.1  43
2.067  43.8  35
2.756  32.5  29
3.042  29.4  27
3.134  28.5  26
3.076  29.0  25

Atomic structure:
a = 8.6203 Å, b = 8.6203 Å, c = 9.4280 Å
α = 115.16°, β = 115.16°, γ = 40.35°
Fractional positions:
Pr 0.0849 0.0849 0.4468
Pr 0.2172 0.2172 0.8818
Pr 0.7828 0.7828 0.1182
Pr 0.9151 0.9151 0.5532
Dy 0.0000 0.0000 0.0000
Dy 0.3294 0.3294 0.6170
Dy 0.4296 0.4296 0.2967
Dy 0.5704 0.5704 0.7033
Dy 0.6706 0.6706 0.3830
Er 0.2128 0.2128 0.2364
Er 0.5000 0.5000 0.0000
Er 0.7872 0.7872 0.7636